Starting from a cell relaxed with GGA-PBE, the powder XRD pattern of NdDy2Er7 was simulated for Cu Kα.
Peak positions follow from Bragg's law for the DFT cell and can differ from measured ones.

Principal peaks in the range 2θ from 15° to 90°, low angle first:
two_theta  I (rel.)
31.04  100
36.00  51
51.83  36
61.66  36
64.72  12
84.67  16

Atomic structure:
```
data_NdDy2Er7
_chemical_formula_sum 'Nd1 Dy2 Er7'
_cell_length_a 6.113
_cell_length_b 7.054
_cell_length_c 7.889
_cell_angle_alpha 77.08
_cell_angle_beta 75.07
_cell_angle_gamma 73.19
_space_group_name_H-M_alt 'P 1'
_space_group_IT_number 1
loop_
_space_group_symop_operation_xyz
'x,y,z'
loop_
_atom_site_label
_atom_site_type_symbol
_atom_site_fract_x
_atom_site_fract_y
_atom_site_fract_z
Nd1 Nd 0.000 0.000 0.000
Dy1 Dy 0.200 0.301 0.600
Dy2 Dy 0.800 0.699 0.400
Er1 Er 0.000 0.500 0.000
Er2 Er 0.201 0.799 0.599
Er3 Er 0.400 0.100 0.201
Er4 Er 0.401 0.599 0.201
Er5 Er 0.599 0.401 0.799
Er6 Er 0.600 0.900 0.799
Er7 Er 0.799 0.201 0.401
```

Starting from a cell relaxed with GGA-PBE, the powder XRD pattern of RbInPb2F8 was simulated for Cu Kα.
Peak positions follow from Bragg's law for the DFT cell and can differ from measured ones.

Principal peaks in the range 2θ from 15° to 90°, low angle first:
two_theta  I (rel.)
23.92  41
26.72  100
29.93  29
41.55  30
45.10  22
51.21  22

Atomic structure:
```
data_RbInPb2F8
_chemical_formula_sum 'Rb1 In1 Pb2 F8'
_cell_length_a 4.423
_cell_length_b 8.140
_cell_length_c 5.876
_cell_angle_alpha 90.00
_cell_angle_beta 96.57
_cell_angle_gamma 90.00
_space_group_name_H-M_alt 'P 1'
_space_group_IT_number 1
loop_
_space_group_symop_operation_xyz
'x,y,z'
loop_
_atom_site_label
_atom_site_type_symbol
_atom_site_fract_x
_atom_site_fract_y
_atom_site_fract_z
Rb1 Rb 0.000 0.000 0.000
In1 In 0.000 0.500 0.000
Pb1 Pb 0.500 0.252 0.500
Pb2 Pb 0.500 0.748 0.500
F1 F 0.046 0.303 0.759
F2 F 0.046 0.697 0.759
F3 F 0.429 0.500 0.209
F4 F 0.465 0.000 0.719
F5 F 0.535 0.000 0.281
F6 F 0.571 0.500 0.791
F7 F 0.954 0.303 0.241
F8 F 0.954 0.697 0.241
```

Starting from a cell relaxed with GGA-PBE, the powder XRD pattern of SbIrXeF12 was simulated for Cu Kα.
Peak positions follow from Bragg's law for the DFT cell and can differ from measured ones.

Principal peaks in the range 2θ from 15° to 90°, low angle first:
two_theta  I (rel.)
18.41  100
21.70  90
21.83  52
24.31  38
27.16  28
36.36  22

Atomic structure:
```
data_SbIrXeF12
_chemical_formula_sum 'Sb2 Ir2 Xe2 F24'
_cell_length_a 11.415
_cell_length_b 11.415
_cell_length_c 8.143
_cell_angle_alpha 90.02
_cell_angle_beta 90.02
_cell_angle_gamma 148.41
_space_group_name_H-M_alt 'P 1'
_space_group_IT_number 1
loop_
_space_group_symop_operation_xyz
'x,y,z'
loop_
_atom_site_label
_atom_site_type_symbol
_atom_site_fract_x
_atom_site_fract_y
_atom_site_fract_z
Sb1 Sb 0.086 0.914 0.500
Sb2 Sb 0.914 0.086 0.000
Ir1 Ir 0.478 0.977 0.468
Ir2 Ir 0.977 0.478 0.968
Xe1 Xe 0.413 0.590 0.502
Xe2 Xe 0.590 0.413 0.002
F1 F 0.103 0.737 0.959
F2 F 0.112 0.304 0.170
F3 F 0.134 0.307 0.838
F4 F 0.191 0.826 0.479
F5 F 0.260 0.647 0.987
F6 F 0.292 0.674 0.447
F7 F 0.304 0.112 0.670
F8 F 0.307 0.134 0.338
F9 F 0.463 0.947 0.696
F10 F 0.468 0.983 0.240
F11 F 0.495 0.496 0.059
F12 F 0.496 0.495 0.559
F13 F 0.647 0.260 0.487
F14 F 0.674 0.292 0.947
F15 F 0.679 0.882 0.157
F16 F 0.700 0.883 0.829
F17 F 0.737 0.103 0.459
F18 F 0.826 0.191 0.979
F19 F 0.882 0.679 0.657
F20 F 0.883 0.700 0.329
F21 F 0.947 0.463 0.196
F22 F 0.983 0.468 0.740
F23 F 0.989 0.989 0.016
F24 F 0.989 0.989 0.516
```

Starting from a cell relaxed with GGA-PBE, the powder XRD pattern of Mg3GaPd3 was simulated for Cu Kα.
Peak positions follow from Bragg's law for the DFT cell and can differ from measured ones.

Principal peaks in the range 2θ from 15° to 90°, low angle first:
two_theta  I (rel.)
21.49  61
34.02  33
39.46  36
39.98  100
41.20  49
47.02  28

Atomic structure:
```
data_Mg3GaPd3
_chemical_formula_sum 'Mg6 Ga2 Pd6'
_cell_length_a 5.593
_cell_length_b 5.593
_cell_length_c 8.277
_cell_angle_alpha 91.28
_cell_angle_beta 91.28
_cell_angle_gamma 109.48
_space_group_name_H-M_alt 'P 1'
_space_group_IT_number 1
loop_
_space_group_symop_operation_xyz
'x,y,z'
loop_
_atom_site_label
_atom_site_type_symbol
_atom_site_fract_x
_atom_site_fract_y
_atom_site_fract_z
Mg1 Mg 0.167 0.833 0.000
Mg2 Mg 0.232 0.768 0.500
Mg3 Mg 0.423 0.423 0.184
Mg4 Mg 0.577 0.577 0.816
Mg5 Mg 0.768 0.232 0.500
Mg6 Mg 0.833 0.167 0.000
Ga1 Ga 0.291 0.291 0.543
Ga2 Ga 0.709 0.709 0.457
Pd1 Pd 0.036 0.036 0.284
Pd2 Pd 0.051 0.487 0.759
Pd3 Pd 0.487 0.051 0.759
Pd4 Pd 0.513 0.949 0.241
Pd5 Pd 0.949 0.513 0.241
Pd6 Pd 0.964 0.964 0.716
```

Starting from a cell relaxed with GGA-PBE, the powder XRD pattern of PmPuNi10 was simulated for Cu Kα.
Peak positions follow from Bragg's law for the DFT cell and can differ from measured ones.

Principal peaks in the range 2θ from 15° to 90°, low angle first:
two_theta  I (rel.)
30.84  62
36.57  35
42.48  37
43.34  100
45.83  25
70.51  22

Atomic structure:
```
data_PmPuNi10
_chemical_formula_sum 'Pm1 Pu1 Ni10'
_cell_length_a 3.960
_cell_length_b 4.910
_cell_length_c 8.519
_cell_angle_alpha 90.00
_cell_angle_beta 90.00
_cell_angle_gamma 90.00
_space_group_name_H-M_alt 'P 1'
_space_group_IT_number 1
loop_
_space_group_symop_operation_xyz
'x,y,z'
loop_
_atom_site_label
_atom_site_type_symbol
_atom_site_fract_x
_atom_site_fract_y
_atom_site_fract_z
Pm1 Pm 0.000 0.000 0.000
Pu1 Pu 0.000 0.500 0.500
Ni1 Ni 0.000 0.000 0.337
Ni2 Ni 0.000 0.000 0.663
Ni3 Ni 0.000 0.500 0.172
Ni4 Ni 0.000 0.500 0.828
Ni5 Ni 0.500 0.000 0.500
Ni6 Ni 0.500 0.252 0.253
Ni7 Ni 0.500 0.252 0.747
Ni8 Ni 0.500 0.500 0.000
Ni9 Ni 0.500 0.748 0.253
Ni10 Ni 0.500 0.748 0.747
```

Starting from a cell relaxed with GGA-PBE, the powder XRD pattern of Tb12Sm2Er was simulated for Cu Kα.
Peak positions follow from Bragg's law for the DFT cell and can differ from measured ones.

Principal peaks in the range 2θ from 15° to 90°, low angle first:
two_theta  I (rel.)
29.59  36
31.35  51
31.87  19
32.09  100
32.22  81
32.63  26

Atomic structure:
```
data_Tb12Sm2Er
_chemical_formula_sum 'Tb24 Sm4 Er2'
_cell_length_a 6.388
_cell_length_b 6.699
_cell_length_c 25.500
_cell_angle_alpha 92.33
_cell_angle_beta 90.20
_cell_angle_gamma 117.07
_space_group_name_H-M_alt 'P 1'
_space_group_IT_number 1
loop_
_space_group_symop_operation_xyz
'x,y,z'
loop_
_atom_site_label
_atom_site_type_symbol
_atom_site_fract_x
_atom_site_fract_y
_atom_site_fract_z
Tb1 Tb 0.018 0.224 0.321
Tb2 Tb 0.057 0.952 0.816
Tb3 Tb 0.169 0.171 0.949
Tb4 Tb 0.171 0.515 0.849
Tb5 Tb 0.215 0.985 0.406
Tb6 Tb 0.247 0.487 0.466
Tb7 Tb 0.256 0.551 0.602
Tb8 Tb 0.259 0.002 0.537
Tb9 Tb 0.277 0.386 0.082
Tb10 Tb 0.378 0.938 0.118
Tb11 Tb 0.392 0.598 0.216
Tb12 Tb 0.481 0.733 0.347
Tb13 Tb 0.519 0.267 0.653
Tb14 Tb 0.608 0.402 0.784
Tb15 Tb 0.622 0.062 0.882
Tb16 Tb 0.723 0.614 0.918
Tb17 Tb 0.741 0.998 0.463
Tb18 Tb 0.744 0.449 0.398
Tb19 Tb 0.753 0.513 0.534
Tb20 Tb 0.785 0.015 0.594
Tb21 Tb 0.829 0.485 0.151
Tb22 Tb 0.831 0.829 0.051
Tb23 Tb 0.943 0.048 0.184
Tb24 Tb 0.982 0.776 0.679
Sm1 Sm 0.043 0.302 0.719
Sm2 Sm 0.492 0.157 0.263
Sm3 Sm 0.508 0.843 0.737
Sm4 Sm 0.957 0.698 0.281
Er1 Er 0.277 0.726 0.983
Er2 Er 0.723 0.274 0.017
```